Simulated powder X-ray diffraction pattern of SrHoGa4Pt2 for CuKα, from a crystal structure in OQMD, relaxed with PBE.
Lines closer than 0.1° are merged.

Structure:
abc: 6.909 4.397 10.394
angles: 90.00 90.00 90.00
Space group Amm2 (No. 38)
One atom of each set of equivalent atoms:
Sr  0.000  0.000  0.000 [2 per cell]
Ho  0.500  0.000  0.840 [2 per cell]
Ga  0.200  0.000  0.286 [4 per cell]
Ga  0.309  0.000  0.558 [4 per cell]
Pt  0.000  0.000  0.715 [2 per cell]
Pt  0.500  0.000  0.127 [2 per cell]

Main lines, in order of rising 2θ (10 to 80 degrees two-theta):
5.197 Å, 17.1 deg, rel. 27; 3.494 Å, 25.5 deg, rel. 24; 3.454 Å, 25.8 deg, rel. 29; 2.628 Å, 34.1 deg, rel. 79; 2.532 Å, 35.5 deg, rel. 100; 2.432 Å, 37.0 deg, rel. 50; 2.198 Å, 41.1 deg, rel. 45; 2.138 Å, 42.3 deg, rel. 42; 2.002 Å, 45.3 deg, rel. 31; 1.758 Å, 52.0 deg, rel. 15; 1.631 Å, 56.4 deg, rel. 30; 1.407 Å, 66.5 deg, rel. 19

***

Simulated powder X-ray diffraction pattern of Ho4GaSbS9 for CuKα, from a crystal structure in OQMD, relaxed with PBE.
Lines closer than 0.1° are merged.

Structure:
abc: 13.479 13.798 14.076
angles: 90.00 90.00 90.00
Space group Aea2 (No. 41)
One atom of each set of equivalent atoms:
Ho  0.100  0.171  0.000 [8 per cell]
Ho  0.104  0.110  0.453 [8 per cell]
Ho  0.186  0.166  0.719 [8 per cell]
Ho  0.189  0.390  0.492 [8 per cell]
Ga  0.090  0.394  0.228 [8 per cell]
Sb  0.114  0.418  0.763 [8 per cell]
S  0.000  0.000  0.007 [4 per cell]
S  0.000  0.000  0.633 [4 per cell]
S  0.015  0.196  0.820 [8 per cell]
S  0.069  0.255  0.575 [8 per cell]
S  0.082  0.095  0.257 [8 per cell]
S  0.099  0.410  0.938 [8 per cell]
S  0.190  0.300  0.132 [8 per cell]
S  0.197  0.488  0.317 [8 per cell]
S  0.245  0.233  0.387 [8 per cell]
S  0.247  0.058  0.071 [8 per cell]

Main lines, in order of rising 2θ (10 to 80 degrees two-theta):
3.519 Å, 25.3 deg, rel. 59; 3.449 Å, 25.8 deg, rel. 29; 3.320 Å, 26.9 deg, rel. 100; 3.190 Å, 28.0 deg, rel. 29; 2.952 Å, 30.3 deg, rel. 23; 2.653 Å, 33.8 deg, rel. 43; 2.600 Å, 34.5 deg, rel. 26; 2.463 Å, 36.5 deg, rel. 41; 2.423 Å, 37.1 deg, rel. 22; 1.991 Å, 45.6 deg, rel. 25; 1.910 Å, 47.6 deg, rel. 26; 1.793 Å, 50.9 deg, rel. 46

***

Simulated powder X-ray diffraction pattern of Ho2GaSn for CuKα, from a crystal structure in OQMD, relaxed with PBE.
Lines closer than 0.1° are merged.

Structure:
abc: 4.132 4.429 11.091
angles: 90.00 90.00 90.00
Space group Amm2 (No. 38)
One atom of each set of equivalent atoms:
Ho  0.000  0.000  0.000 [2 per cell]
Ho  0.500  0.000  0.279 [2 per cell]
Ga  0.000  0.000  0.732 [2 per cell]
Sn  0.500  0.000  0.563 [2 per cell]

Main lines, in order of rising 2θ (10 to 80 degrees two-theta):
3.313 Å, 26.9 deg, rel. 14; 2.915 Å, 30.7 deg, rel. 100; 2.838 Å, 31.5 deg, rel. 32; 2.773 Å, 32.3 deg, rel. 29; 2.340 Å, 38.5 deg, rel. 55; 2.302 Å, 39.1 deg, rel. 17; 2.215 Å, 40.7 deg, rel. 26; 2.066 Å, 43.8 deg, rel. 21; 1.730 Å, 52.9 deg, rel. 14; 1.670 Å, 55.0 deg, rel. 14; 1.511 Å, 61.4 deg, rel. 15; 1.210 Å, 79.2 deg, rel. 13

***

Simulated powder X-ray diffraction pattern of TbHoGa4 for CuKα, from a crystal structure in OQMD, relaxed with PBE.
Lines closer than 0.1° are merged.

Structure:
abc: 4.325 4.307 13.428
angles: 90.00 90.00 90.00
Space group Amm2 (No. 38)
One atom of each set of equivalent atoms:
Tb  0.000  0.000  0.000 [2 per cell]
Ho  0.000  0.000  0.303 [2 per cell]
Ga  0.000  0.000  0.652 [2 per cell]
Ga  0.500  0.000  0.152 [2 per cell]
Ga  0.500  0.000  0.475 [2 per cell]
Ga  0.500  0.000  0.826 [2 per cell]

Main lines, in order of rising 2θ (10 to 80 degrees two-theta):
4.325 Å, 20.5 deg, rel. 8; 2.522 Å, 35.6 deg, rel. 100; 2.238 Å, 40.3 deg, rel. 15; 2.163 Å, 41.8 deg, rel. 17; 2.154 Å, 41.9 deg, rel. 17; 1.555 Å, 59.4 deg, rel. 10; 1.552 Å, 59.6 deg, rel. 9; 1.526 Å, 60.7 deg, rel. 11; 1.340 Å, 70.2 deg, rel. 9; 1.308 Å, 72.3 deg, rel. 12; 1.304 Å, 72.5 deg, rel. 12; 1.261 Å, 75.4 deg, rel. 9

***

Simulated powder X-ray diffraction pattern of HoThGa for CuKα, from a crystal structure in OQMD, relaxed with PBE.
Lines closer than 0.1° are merged.

Structure:
abc: 7.030 7.030 7.030
angles: 90.00 90.00 90.00
Space group F-43m (No. 216)
One atom of each set of equivalent atoms:
Ho  0.000  0.000  0.000 [4 per cell]
Th  0.000  0.000  0.500 [4 per cell]
Ga  0.250  0.250  0.250 [4 per cell]

Main lines, in order of rising 2θ (10 to 80 degrees two-theta):
4.059 Å, 21.9 deg, rel. 10; 3.515 Å, 25.3 deg, rel. 57; 2.485 Å, 36.1 deg, rel. 100; 2.119 Å, 42.7 deg, rel. 5; 2.029 Å, 44.7 deg, rel. 17; 1.757 Å, 52.0 deg, rel. 18; 1.613 Å, 57.1 deg, rel. 2; 1.572 Å, 58.7 deg, rel. 24; 1.435 Å, 65.0 deg, rel. 37; 1.353 Å, 69.5 deg, rel. 2; 1.243 Å, 76.7 deg, rel. 11

***

Simulated powder X-ray diffraction pattern of Ho2Tm3Ga3 for CuKα, from a crystal structure in OQMD, relaxed with PBE.
Lines closer than 0.1° are merged.

Structure:
abc: 6.8201 6.8201 4.9067
angles: 90.00 90.00 120.00
Space group P-6m2 (No. 187)
One atom of each set of equivalent atoms:
Ho  0.0000  0.0000  0.0000 [1 per cell]
Ho  0.3333  0.6667  0.5000 [1 per cell]
Tm  0.3519  0.1760  0.5000 [3 per cell]
Ga  0.5175  0.0351  0.0000 [3 per cell]

Main lines, in order of rising 2θ (10 to 80 degrees two-theta):
4.907 Å, 18.1 deg, rel. 8; 3.774 Å, 23.6 deg, rel. 5; 2.953 Å, 30.3 deg, rel. 30; 2.530 Å, 35.5 deg, rel. 100; 2.453 Å, 36.6 deg, rel. 21; 1.887 Å, 48.2 deg, rel. 17; 1.705 Å, 53.8 deg, rel. 18; 1.476 Å, 63.0 deg, rel. 4; 1.431 Å, 65.2 deg, rel. 17; 1.414 Å, 66.1 deg, rel. 15; 1.400 Å, 66.8 deg, rel. 19; 1.265 Å, 75.1 deg, rel. 4

***

Simulated powder X-ray diffraction pattern of Ho2Tm3Ga3 for CuKα, from a crystal structure in OQMD, relaxed with PBE.
Lines closer than 0.1° are merged.

Structure:
abc: 5.421 7.163 10.253
angles: 90.00 90.00 90.00
Space group Amm2 (No. 38)
One atom of each set of equivalent atoms:
Ho  0.000  0.000  0.000 [2 per cell]
Ho  0.500  0.000  0.409 [2 per cell]
Tm  0.000  0.000  0.598 [2 per cell]
Tm  0.500  0.249  0.163 [4 per cell]
Ga  0.000  0.178  0.297 [4 per cell]
Ga  0.500  0.000  0.894 [2 per cell]

Main lines, in order of rising 2θ (10 to 80 degrees two-theta):
3.085 Å, 28.9 deg, rel. 11; 2.988 Å, 29.9 deg, rel. 16; 2.936 Å, 30.4 deg, rel. 51; 2.710 Å, 33.0 deg, rel. 59; 2.681 Å, 33.4 deg, rel. 33; 2.582 Å, 34.7 deg, rel. 100; 2.317 Å, 38.9 deg, rel. 45; 1.992 Å, 45.5 deg, rel. 34; 1.791 Å, 51.0 deg, rel. 12; 1.539 Å, 60.1 deg, rel. 21; 1.494 Å, 62.1 deg, rel. 19; 1.417 Å, 65.9 deg, rel. 12

***

Simulated powder X-ray diffraction pattern of Y5Ho2Ga for CuKα, from a crystal structure in OQMD, relaxed with PBE.
Lines closer than 0.1° are merged.

Structure:
abc: 5.506 7.072 12.200
angles: 90.00 90.00 90.00
Space group Amm2 (No. 38)
One atom of each set of equivalent atoms:
Y  0.000  0.000  0.000 [2 per cell]
Y  0.000  0.242  0.253 [4 per cell]
Y  0.500  0.245  0.080 [4 per cell]
Ho  0.000  0.000  0.494 [2 per cell]
Ho  0.500  0.000  0.837 [2 per cell]
Ga  0.500  0.000  0.331 [2 per cell]

Main lines, in order of rising 2θ (10 to 80 degrees two-theta):
4.092 Å, 21.7 deg, rel. 10; 3.056 Å, 29.2 deg, rel. 24; 2.753 Å, 32.5 deg, rel. 24; 2.672 Å, 33.5 deg, rel. 100; 2.045 Å, 44.3 deg, rel. 15; 1.768 Å, 51.7 deg, rel. 7; 1.763 Å, 51.9 deg, rel. 12; 1.573 Å, 58.7 deg, rel. 20; 1.488 Å, 62.4 deg, rel. 7; 1.484 Å, 62.6 deg, rel. 14; 1.474 Å, 63.1 deg, rel. 10; 1.470 Å, 63.3 deg, rel. 5